Entry 1:
Computed powder X-ray diffraction pattern of ZnHg2Cl6 for copper Kα, from the GGA-PBE geometry in Alexandria.
Peak positions follow from Bragg's law for the DFT cell and can differ from measured ones.

Structure:
```
data_ZnHg2Cl6
_chemical_formula_sum 'Zn2 Hg4 Cl12'
_cell_length_a 9.7830
_cell_length_b 9.7830
_cell_length_c 6.7622
_cell_angle_alpha 106.76
_cell_angle_beta 106.76
_cell_angle_gamma 91.07
_space_group_name_H-M_alt 'P 1'
_space_group_IT_number 1
loop_
_space_group_symop_operation_xyz
'x,y,z'
loop_
_atom_site_label
_atom_site_fract_x
_atom_site_fract_y
_atom_site_fract_z
Zn1 0.1992 0.8008 0.7500
Zn2 0.8008 0.1992 0.2500
Hg1 0.1773 0.3575 0.5181
Hg2 0.3575 0.1773 0.0181
Hg3 0.6425 0.8227 0.9819
Hg4 0.8227 0.6425 0.4819
Cl1 0.0189 0.2105 0.1628
Cl2 0.1531 0.6206 0.4384
Cl3 0.2105 0.0189 0.6628
Cl4 0.2873 0.4289 0.9020
Cl5 0.3794 0.8469 0.0616
Cl6 0.4289 0.2873 0.4020
Cl7 0.5711 0.7127 0.5980
Cl8 0.6206 0.1531 0.9384
Cl9 0.7127 0.5711 0.0980
Cl10 0.7895 0.9811 0.3372
Cl11 0.8469 0.3794 0.5616
Cl12 0.9811 0.7895 0.8372
```

Most intense lines, 5° ≤ 2θ ≤ 70°, in order of falling intensity:
- 14.6 deg, I 100
- 27.9 deg, I 90
- 14.2 deg, I 52
- 23.2 deg, I 39
- 19.1 deg, I 33
- 46.1 deg, I 21

---

Entry 2:
Computed powder X-ray diffraction pattern of ZnHg2Cl for copper Kα, from the GGA-PBE geometry in Alexandria.
Peak positions follow from Bragg's law for the DFT cell and can differ from measured ones.

Structure:
```
data_ZnHg2Cl
_chemical_formula_sum 'Zn1 Hg2 Cl1'
_cell_length_a 5.1895
_cell_length_b 5.1895
_cell_length_c 5.1206
_cell_angle_alpha 107.33
_cell_angle_beta 107.33
_cell_angle_gamma 114.05
_space_group_name_H-M_alt 'P 1'
_space_group_IT_number 1
loop_
_space_group_symop_operation_xyz
'x,y,z'
loop_
_atom_site_label
_atom_site_fract_x
_atom_site_fract_y
_atom_site_fract_z
Zn1 0.0000 0.0000 0.0000
Hg1 0.0000 0.5000 0.5000
Hg2 0.5000 0.0000 0.5000
Cl1 0.5000 0.5000 0.0000
```

Most intense lines, 5° ≤ 2θ ≤ 70°, in order of falling intensity:
- 29.2 deg, I 100
- 31.7 deg, I 41
- 20.4 deg, I 38
- 20.7 deg, I 36
- 43.6 deg, I 34
- 43.7 deg, I 34

---

Entry 3:
Computed powder X-ray diffraction pattern of HoCl2 for copper Kα, from the GGA-PBE geometry in Alexandria.
Peak positions follow from Bragg's law for the DFT cell and can differ from measured ones.

Structure:
```
data_HoCl2
_chemical_formula_sum 'Ho2 Cl4'
_cell_length_a 6.8647
_cell_length_b 6.8647
_cell_length_c 3.4519
_cell_angle_alpha 90.00
_cell_angle_beta 90.00
_cell_angle_gamma 90.00
_space_group_name_H-M_alt 'P 1'
_space_group_IT_number 1
loop_
_space_group_symop_operation_xyz
'x,y,z'
loop_
_atom_site_label
_atom_site_fract_x
_atom_site_fract_y
_atom_site_fract_z
Ho1 0.0000 0.0000 0.0000
Ho2 0.5000 0.5000 0.5000
Cl1 0.2193 0.2193 0.5000
Cl2 0.2807 0.7193 0.0000
Cl3 0.7193 0.2807 0.0000
Cl4 0.7807 0.7807 0.5000
```

Most intense lines, 5° ≤ 2θ ≤ 70°, in order of falling intensity:
- 18.3 deg, I 100
- 39.3 deg, I 65
- 29.0 deg, I 53
- 37.0 deg, I 31
- 47.7 deg, I 24
- 41.6 deg, I 22

---

Entry 4:
Computed powder X-ray diffraction pattern of HoCl5 for copper Kα, from the GGA-PBE geometry in Alexandria.
Peak positions follow from Bragg's law for the DFT cell and can differ from measured ones.

Structure:
```
data_HoCl5
_chemical_formula_sum 'Ho1 Cl5'
_cell_length_a 3.9542
_cell_length_b 5.2687
_cell_length_c 11.4883
_cell_angle_alpha 90.00
_cell_angle_beta 92.84
_cell_angle_gamma 90.00
_space_group_name_H-M_alt 'P 1'
_space_group_IT_number 1
loop_
_space_group_symop_operation_xyz
'x,y,z'
loop_
_atom_site_label
_atom_site_fract_x
_atom_site_fract_y
_atom_site_fract_z
Ho1 0.0000 0.0000 0.0000
Cl1 0.0001 0.5000 0.0004
Cl2 0.4780 0.0000 0.8463
Cl3 0.5092 0.5000 0.5866
Cl4 0.5220 0.0000 0.1537
Cl5 0.5499 0.5000 0.4143
```

Most intense lines, 5° ≤ 2θ ≤ 70°, in order of falling intensity:
- 7.7 deg, I 100
- 18.5 deg, I 52
- 15.4 deg, I 32
- 31.8 deg, I 15
- 24.2 deg, I 14
- 37.6 deg, I 12

---

Entry 5:
Computed powder X-ray diffraction pattern of HoPuInCl6 for copper Kα, from the GGA-PBE geometry in Alexandria.
Peak positions follow from Bragg's law for the DFT cell and can differ from measured ones.

Structure:
```
data_HoPuInCl6
_chemical_formula_sum 'Ho2 Pu2 In2 Cl12'
_cell_length_a 7.1576
_cell_length_b 7.1576
_cell_length_c 13.8340
_cell_angle_alpha 90.00
_cell_angle_beta 90.00
_cell_angle_gamma 120.00
_space_group_name_H-M_alt 'P 1'
_space_group_IT_number 1
loop_
_space_group_symop_operation_xyz
'x,y,z'
loop_
_atom_site_label
_atom_site_fract_x
_atom_site_fract_y
_atom_site_fract_z
Ho1 0.3333 0.6667 0.2500
Ho2 0.6667 0.3333 0.7500
Pu1 0.3333 0.6667 0.7500
Pu2 0.6667 0.3333 0.2500
In1 0.0000 0.0000 0.0000
In2 0.0000 0.0000 0.5000
Cl1 0.0192 0.3762 0.1393
Cl2 0.0192 0.6431 0.3607
Cl3 0.3569 0.3762 0.3607
Cl4 0.3569 0.9808 0.1393
Cl5 0.3762 0.0192 0.6393
Cl6 0.3762 0.3569 0.8607
Cl7 0.6238 0.6431 0.1393
Cl8 0.6238 0.9808 0.3607
Cl9 0.6431 0.0192 0.8607
Cl10 0.6431 0.6238 0.6393
Cl11 0.9808 0.3569 0.6393
Cl12 0.9808 0.6238 0.8607
```

Most intense lines, 5° ≤ 2θ ≤ 70°, in order of falling intensity:
- 19.2 deg, I 100
- 36.1 deg, I 75
- 24.9 deg, I 43
- 12.8 deg, I 41
- 28.1 deg, I 39
- 40.7 deg, I 30

---

Entry 6:
Computed powder X-ray diffraction pattern of KHoMn2Cl8 for copper Kα, from the GGA-PBE geometry in Alexandria.
Peak positions follow from Bragg's law for the DFT cell and can differ from measured ones.

Structure:
```
data_KHoMn2Cl8
_chemical_formula_sum 'K1 Ho1 Mn2 Cl8'
_cell_length_a 6.4551
_cell_length_b 6.4576
_cell_length_c 8.8804
_cell_angle_alpha 79.75
_cell_angle_beta 79.57
_cell_angle_gamma 78.75
_space_group_name_H-M_alt 'P 1'
_space_group_IT_number 1
loop_
_space_group_symop_operation_xyz
'x,y,z'
loop_
_atom_site_label
_atom_site_fract_x
_atom_site_fract_y
_atom_site_fract_z
K1 0.0000 0.0000 0.0000
Ho1 0.0000 0.0000 0.5000
Mn1 0.4489 0.4507 0.2160
Mn2 0.5511 0.5493 0.7840
Cl1 0.2053 0.7581 0.7200
Cl2 0.2494 0.8013 0.2780
Cl3 0.2638 0.2732 0.4574
Cl4 0.3273 0.3357 0.0106
Cl5 0.6727 0.6643 0.9894
Cl6 0.7362 0.7268 0.5426
Cl7 0.7506 0.1987 0.7220
Cl8 0.7947 0.2419 0.2800
```

Most intense lines, 5° ≤ 2θ ≤ 70°, in order of falling intensity:
- 16.2 deg, I 100
- 18.3 deg, I 72
- 30.1 deg, I 52
- 23.2 deg, I 48
- 21.7 deg, I 47
- 44.2 deg, I 34